# Sr2Li3MgCd12
Theoretical powder X-ray diffraction pattern, Cu Ka. Input: DFT lattice parameters and positions (GGA-PBE).

Main lines, in order of rising 2θ (5° ≤ 2θ ≤ 70°):
- 7.639 Å, 2θ 11.58, intensity 14
- 4.296 Å, 2θ 20.67, intensity 20
- 3.820 Å, 2θ 23.29, intensity 36
- 3.078 Å, 2θ 29.01, intensity 18
- 2.598 Å, 2θ 34.52, intensity 100
- 2.546 Å, 2θ 35.25, intensity 24
- 2.432 Å, 2θ 36.97, intensity 79
- 1.775 Å, 2θ 51.47, intensity 21
- 1.466 Å, 2θ 63.46, intensity 15
- 1.381 Å, 2θ 67.89, intensity 15

Atomic structure:
Cell lengths 7.694, 7.694, 7.694 Å; angles 84.96, 84.96, 84.96 degrees
Sites, in units of the cell vectors:
1 Sr 0.237 0.237 0.237
2 Sr 0.763 0.763 0.763
3 Li 0.000 0.500 0.500
4 Li 0.500 0.000 0.500
5 Li 0.500 0.500 0.000
6 Mg 0.500 0.500 0.500
7 Cd 0.073 0.073 0.648
8 Cd 0.073 0.648 0.073
9 Cd 0.227 0.697 0.697
10 Cd 0.303 0.303 0.773
11 Cd 0.303 0.773 0.303
12 Cd 0.352 0.927 0.927
13 Cd 0.648 0.073 0.073
14 Cd 0.697 0.227 0.697
15 Cd 0.697 0.697 0.227
16 Cd 0.773 0.303 0.303
17 Cd 0.927 0.352 0.927
18 Cd 0.927 0.927 0.352



# LiThMgCd
Theoretical powder X-ray diffraction pattern, Cu Ka. Input: DFT lattice parameters and positions (GGA-PBE).

Main lines, in order of rising 2θ (5° ≤ 2θ ≤ 70°):
- 4.197 Å, 2θ 21.17, intensity 86
- 3.635 Å, 2θ 24.49, intensity 15
- 2.570 Å, 2θ 34.91, intensity 100
- 2.192 Å, 2θ 41.19, intensity 48
- 2.099 Å, 2θ 43.11, intensity 5
- 1.817 Å, 2θ 50.20, intensity 18
- 1.668 Å, 2θ 55.07, intensity 21
- 1.626 Å, 2θ 56.62, intensity 7
- 1.484 Å, 2θ 62.60, intensity 37
- 1.399 Å, 2θ 66.88, intensity 16

Atomic structure:
Cell lengths 5.140, 5.140, 5.140 Å; angles 60.00, 60.00, 60.00 degrees
Sites, in units of the cell vectors:
1 Li 0.000 0.000 0.000
2 Th 0.750 0.750 0.750
3 Mg 0.250 0.250 0.250
4 Cd 0.500 0.500 0.500



# LiMg2Tl2Cd2
Theoretical powder X-ray diffraction pattern, Cu Ka. Input: DFT lattice parameters and positions (GGA-PBE).

Main lines, in order of rising 2θ (5° ≤ 2θ ≤ 70°):
- 4.656 Å, 2θ 19.06, intensity 55
- 3.777 Å, 2θ 23.56, intensity 42
- 3.617 Å, 2θ 24.61, intensity 77
- 3.026 Å, 2θ 29.52, intensity 24
- 2.683 Å, 2θ 33.39, intensity 22
- 2.582 Å, 2θ 34.75, intensity 100
- 2.565 Å, 2θ 34.98, intensity 50
- 2.558 Å, 2θ 35.08, intensity 48
- 2.550 Å, 2θ 35.20, intensity 49
- 2.361 Å, 2θ 38.11, intensity 39

Atomic structure:
Cell lengths 3.823, 5.904, 7.574 Å; angles 93.97, 90.10, 108.54 degrees
Sites, in units of the cell vectors:
1 Li 0.000 0.000 0.000
2 Mg 0.142 0.283 0.427
3 Mg 0.858 0.717 0.573
4 Tl 0.426 0.853 0.273
5 Tl 0.574 0.147 0.727
6 Cd 0.295 0.592 0.862
7 Cd 0.705 0.408 0.138



# Li2Mg2Zn2Cd
Theoretical powder X-ray diffraction pattern, Cu Ka. Input: DFT lattice parameters and positions (GGA-PBE).

Main lines, in order of rising 2θ (5° ≤ 2θ ≤ 70°):
- 3.932 Å, 2θ 22.61, intensity 100
- 3.306 Å, 2θ 26.97, intensity 18
- 2.321 Å, 2θ 38.79, intensity 96
- 2.304 Å, 2θ 39.09, intensity 47
- 2.126 Å, 2θ 42.52, intensity 8
- 2.101 Å, 2θ 43.05, intensity 15
- 1.990 Å, 2θ 45.57, intensity 10
- 1.654 Å, 2θ 55.58, intensity 8
- 1.629 Å, 2θ 56.47, intensity 15
- 1.515 Å, 2θ 61.19, intensity 8

Atomic structure:
Cell lengths 4.643, 4.643, 7.101 Å; angles 108.42, 108.42, 59.60 degrees
Sites, in units of the cell vectors:
1 Li 0.067 0.067 0.196
2 Li 0.933 0.933 0.804
3 Mg 0.220 0.220 0.662
4 Mg 0.780 0.780 0.338
5 Zn 0.360 0.360 0.075
6 Zn 0.640 0.640 0.925
7 Cd 0.500 0.500 0.500



> What is the formula in the first record?

Sr2Li3MgCd12